Entry 1:
Computed X-ray powder pattern of Ho6AlPd for a wavelength of 1.5418 Å, from DFT lattice parameters and positions (GGA-PBE).
Intensities are scaled so that the largest is 100.

Atomic structure:
```
data_Ho6AlPd
_chemical_formula_sum 'Ho12 Al2 Pd2'
_symmetry_space_group_name_H-M 'I 4/m m m'
_symmetry_Int_Tables_number 139
_symmetry_space_group_name_Hall '-I 4 2'
_cell_length_a 4.9242
_cell_length_b 4.9242
_cell_length_c 17.7857
_cell_angle_alpha 90.00
_cell_angle_beta 90.00
_cell_angle_gamma 90.00
loop_
_atom_site_label
_atom_site_fract_x
_atom_site_fract_y
_atom_site_fract_z
_atom_site_occupancy
Ho1 0.0000 0.0000 0.2469 1
Ho2 0.0000 0.5000 0.1045 1
Al1 0.0000 0.0000 0.0000 1
Pd1 0.0000 0.0000 0.5000 1
```

The 12 most intense peaks (5° ≤ 2θ ≤ 70°), most intense first:
- d 2.741, I = 100, hkl 1 1 4
- d 2.462, I = 44, hkl 2 0 0
- d 1.470, I = 30, hkl 3 1 4
- d 3.242, I = 19, hkl 1 1 2
- d 1.741, I = 15, hkl 2 2 0
- d 1.894, I = 13, hkl 2 0 6
- d 1.650, I = 13, hkl 2 0 8
- d 1.584, I = 12, hkl 1 1 10
- d 2.964, I = 12, hkl 0 0 6
- d 2.223, I = 8, hkl 0 0 8
- d 1.371, I = 7, hkl 2 2 8
- d 1.501, I = 6, hkl 2 2 6



Entry 2:
Computed X-ray powder pattern of CeAsNO4F2 for a wavelength of 1.5418 Å, from DFT lattice parameters and positions (GGA-PBE).
Intensities are scaled so that the largest is 100.

Atomic structure:
```
data_CeAsNO4F2
_chemical_formula_sum 'Ce2 As2 N2 O8 F4'
_symmetry_space_group_name_H-M 'P 1 21/m 1'
_symmetry_Int_Tables_number 11
_cell_length_a 7.1430
_cell_length_b 5.9893
_cell_length_c 7.8773
_cell_angle_alpha 90.00
_cell_angle_beta 116.54
_cell_angle_gamma 90.00
loop_
_symmetry_equiv_pos_as_xyz
'x,y,z'
'-x,-y,-z'
'-x,y+1/2,-z'
'x,-y+1/2,z'
loop_
_atom_site_label
_atom_site_fract_x
_atom_site_fract_y
_atom_site_fract_z
_atom_site_occupancy
Ce1 0.0911 0.2500 0.1782 1
As1 0.2730 0.7500 0.5449 1
N1 0.4116 0.2500 0.8162 1
O1 0.1433 0.7500 0.6815 1
O2 0.2054 0.5175 0.4033 1
O3 0.4644 0.2500 0.3104 1
F1 0.1705 0.0002 0.9972 1
```

The 12 most intense peaks (5° ≤ 2θ ≤ 70°), most intense first:
- d 6.371, I = 100, hkl 1 0 -1
- d 4.564, I = 91, hkl 0 1 1
- d 3.291, I = 76, hkl 1 1 1
- d 3.275, I = 74, hkl 1 1 -2
- d 3.571, I = 44, hkl 2 0 -1
- d 1.970, I = 26, hkl 2 0 2
- d 1.848, I = 26, hkl 0 2 3
- d 1.779, I = 23, hkl 1 3 -2
- d 2.995, I = 21, hkl 0 2 0
- d 2.295, I = 21, hkl 2 2 -1
- d 1.996, I = 19, hkl 3 1 -3
- d 2.007, I = 19, hkl 3 1 0